Diffraction record for SrV6O11. The X-ray diffraction stick pattern is computed, not measured: it uses DFT lattice parameters and positions (PBE+U) and CuKα.
No peak broadening, texture or thermal motion is included.

Peak list (6 most intense, 2θ = 15–90°, low angle first)
2θ = 32.2°, intensity 100; 2θ = 32.9°, intensity 34; 2θ = 33.1°, intensity 68; 2θ = 37.4°, intensity 42; 2θ = 54.8°, intensity 64; 2θ = 55.1°, intensity 38

Cell lengths 5.9368, 5.9368, 13.1843 Å; angles 90.00, 90.00, 119.48 degrees
Positions (direct):
Sr  0.1678  0.8322  0.5000
Sr  0.8322  0.1678  0.0000
V  0.0006  0.5027  0.7523
V  0.0005  0.9995  0.7520
V  0.1662  0.8338  0.0042
V  0.4973  0.9994  0.7523
V  0.4992  0.5008  0.8953
V  0.4999  0.5001  0.1081
V  0.5001  0.4999  0.6081
V  0.5008  0.4992  0.3953
V  0.5027  0.0006  0.2523
V  0.8338  0.1662  0.5042
V  0.9995  0.0005  0.2520
V  0.9994  0.4973  0.2523
O  0.1485  0.3224  0.8344
O  0.1484  0.3230  0.1695
O  0.1694  0.8306  0.1613
O  0.1704  0.8296  0.8433
O  0.1825  0.3446  0.5021
O  0.3224  0.1485  0.3344
O  0.3230  0.1484  0.6695
O  0.3255  0.6745  0.6705
O  0.3256  0.6744  0.3335
O  0.3446  0.1825  0.0021
O  0.3504  0.6496  0.0024
O  0.6496  0.3504  0.5024
O  0.6554  0.8175  0.5021
O  0.6744  0.3256  0.8335
O  0.6745  0.3255  0.1705
O  0.6770  0.8516  0.1695
O  0.6776  0.8515  0.8344
O  0.8175  0.6554  0.0021
O  0.8296  0.1704  0.3433
O  0.8306  0.1694  0.6613
O  0.8516  0.6770  0.6695
O  0.8515  0.6776  0.3344

***

Diffraction record for Cs2RbFeF6. The X-ray diffraction stick pattern is computed, not measured: it uses DFT lattice parameters and positions (PBE+U) and CuKα.
No peak broadening, texture or thermal motion is included.

Peak list (6 most intense, 2θ = 15–90°, low angle first)
2θ = 26.8°, intensity 100; 2θ = 38.3°, intensity 35; 2θ = 47.4°, intensity 38; 2θ = 55.3°, intensity 21; 2θ = 62.5°, intensity 21; 2θ = 75.7°, intensity 22

Cell lengths 6.6461, 6.6461, 6.6461 Å; angles 60.00, 60.00, 60.00 degrees
Positions (direct):
Cs  0.2500  0.2500  0.2500
Cs  0.7500  0.7500  0.7500
Rb  0.0000  0.0000  0.0000
Fe  0.5000  0.5000  0.5000
F  0.2895  0.2895  0.7105
F  0.2895  0.7105  0.2895
F  0.2895  0.7105  0.7105
F  0.7105  0.2895  0.2895
F  0.7105  0.2895  0.7105
F  0.7105  0.7105  0.2895

***

Diffraction record for BaTbInWO6. The X-ray diffraction stick pattern is computed, not measured: it uses DFT lattice parameters and positions (PBE+U) and CuKα.
No peak broadening, texture or thermal motion is included.

Peak list (6 most intense, 2θ = 15–90°, low angle first)
2θ = 29.7°, intensity 100; 2θ = 42.5°, intensity 28; 2θ = 52.7°, intensity 41; 2θ = 61.7°, intensity 18; 2θ = 70.0°, intensity 18; 2θ = 85.5°, intensity 22

Cell lengths 6.0119, 6.0119, 6.0119 Å; angles 60.00, 60.00, 60.00 degrees
Positions (direct):
Ba  0.0000  0.0000  0.0000
Tb  0.7500  0.7500  0.7500
In  0.5000  0.5000  0.5000
W  0.2500  0.2500  0.2500
O  0.0189  0.0189  0.4811
O  0.0189  0.4811  0.0189
O  0.0189  0.4811  0.4811
O  0.4811  0.0189  0.0189
O  0.4811  0.0189  0.4811
O  0.4811  0.4811  0.0189

***

Question: Which formula does entry 3 have?
Answer: BaTbInWO6